No. 1
Starting from a crystal structure in Alexandria, relaxed with PBE, the powder diffraction line list of LiYGa2Pd4 was calculated for Cu Ka.

Atomic structure:
Cell: 8.511 8.511 8.511 Å, 29.51 29.51 29.51°
Fractional coordinates of all 8 atoms:
Li: 0.000 0.000 0.000
Y: 0.500 0.500 0.500
Ga: 0.261 0.261 0.261
Ga: 0.739 0.739 0.739
Pd: 0.101 0.101 0.101
Pd: 0.370 0.370 0.370
Pd: 0.630 0.630 0.630
Pd: 0.899 0.899 0.899

Peak list (6 most intense, 2θ from 15° to 90°, sorted by position)
- 2θ = 30.03°, d 2.976, rel. 27
- 2θ = 35.13°, d 2.555, rel. 24
- 2θ = 38.01°, d 2.367, rel. 74
- 2θ = 41.67°, d 2.167, rel. 100
- 2θ = 47.59°, d 1.911, rel. 30
- 2θ = 57.66°, d 1.599, rel. 21

No. 2
Starting from a crystal structure in Alexandria, relaxed with PBE, the powder diffraction line list of LiPm6Ga5 was calculated for Cu Ka.

Atomic structure:
Cell: 8.274 8.274 7.312 Å, 90.00 90.00 143.27°
Fractional coordinates of all 12 atoms:
Li: 0.000 0.000 0.000
Pm: 0.170 0.830 0.250
Pm: 0.170 0.830 0.750
Pm: 0.500 0.500 0.257
Pm: 0.500 0.500 0.743
Pm: 0.830 0.170 0.250
Pm: 0.830 0.170 0.750
Ga: 0.000 0.000 0.500
Ga: 0.335 0.665 0.500
Ga: 0.344 0.656 0.000
Ga: 0.656 0.344 0.000
Ga: 0.665 0.335 0.500

Peak list (6 most intense, 2θ from 15° to 90°, sorted by position)
- 2θ = 24.09°, d 3.694, rel. 21
- 2θ = 34.26°, d 2.618, rel. 25
- 2θ = 34.40°, d 2.607, rel. 25
- 2θ = 34.52°, d 2.599, rel. 100
- 2θ = 61.70°, d 1.503, rel. 18
- 2θ = 61.96°, d 1.498, rel. 18

No. 3
Starting from a crystal structure in Alexandria, relaxed with PBE, the powder diffraction line list of LiPm2Ga7 was calculated for Cu Ka.

Atomic structure:
Cell: 4.245 4.245 10.948 Å, 90.00 90.00 90.00°
Fractional coordinates of all 10 atoms:
Li: 0.000 0.000 0.000
Pm: 0.000 0.500 0.748
Pm: 0.500 0.000 0.252
Ga: 0.000 0.000 0.500
Ga: 0.000 0.500 0.134
Ga: 0.000 0.500 0.359
Ga: 0.500 0.000 0.641
Ga: 0.500 0.000 0.866
Ga: 0.500 0.500 0.000
Ga: 0.500 0.500 0.500

Peak list (6 most intense, 2θ from 15° to 90°, sorted by position)
- 2θ = 32.35°, d 2.767, rel. 74
- 2θ = 34.06°, d 2.632, rel. 100
- 2θ = 42.59°, d 2.123, rel. 56
- 2θ = 46.68°, d 1.946, rel. 41
- 2θ = 54.48°, d 1.684, rel. 33
- 2θ = 65.02°, d 1.434, rel. 30

No. 4
Starting from a crystal structure in Alexandria, relaxed with PBE, the powder diffraction line list of LiPm3Ga3 was calculated for Cu Ka.

Atomic structure:
Cell: 5.855 5.855 14.878 Å, 109.33 109.33 45.67°
Fractional coordinates of all 14 atoms:
Li: 0.247 0.247 0.403
Li: 0.753 0.753 0.597
Pm: 0.249 0.249 0.775
Pm: 0.398 0.398 0.075
Pm: 0.453 0.453 0.618
Pm: 0.547 0.547 0.382
Pm: 0.602 0.602 0.925
Pm: 0.751 0.751 0.225
Ga: 0.040 0.040 0.229
Ga: 0.111 0.111 0.076
Ga: 0.125 0.125 0.549
Ga: 0.875 0.875 0.451
Ga: 0.889 0.889 0.924
Ga: 0.960 0.960 0.771

Peak list (6 most intense, 2θ from 15° to 90°, sorted by position)
- 2θ = 25.36°, d 3.512, rel. 21
- 2θ = 31.06°, d 2.879, rel. 100
- 2θ = 31.89°, d 2.806, rel. 49
- 2θ = 33.21°, d 2.698, rel. 37
- 2θ = 39.13°, d 2.302, rel. 32
- 2θ = 39.67°, d 2.272, rel. 32

No. 5
Starting from a crystal structure in Alexandria, relaxed with PBE, the powder diffraction line list of Li3PmGa2 was calculated for Cu Ka.

Atomic structure:
Cell: 9.582 9.582 4.448 Å, 90.00 90.00 120.00°
Fractional coordinates of all 18 atoms:
Li: 0.000 0.292 0.000
Li: 0.000 0.500 0.500
Li: 0.000 0.708 0.000
Li: 0.292 0.000 0.000
Li: 0.292 0.292 0.000
Li: 0.500 0.000 0.500
Li: 0.500 0.500 0.500
Li: 0.708 0.000 0.000
Li: 0.708 0.708 0.000
Pm: 0.000 0.000 0.500
Pm: 0.333 0.667 0.000
Pm: 0.667 0.333 0.000
Ga: 0.188 0.376 0.500
Ga: 0.188 0.812 0.500
Ga: 0.376 0.188 0.500
Ga: 0.624 0.812 0.500
Ga: 0.812 0.188 0.500
Ga: 0.812 0.624 0.500

Peak list (6 most intense, 2θ from 15° to 90°, sorted by position)
- 2θ = 18.52°, d 4.791, rel. 45
- 2θ = 22.68°, d 3.920, rel. 53
- 2θ = 27.36°, d 3.260, rel. 27
- 2θ = 35.01°, d 2.563, rel. 100
- 2θ = 37.55°, d 2.396, rel. 54
- 2θ = 56.46°, d 1.630, rel. 33

No. 6
Starting from a crystal structure in Alexandria, relaxed with PBE, the powder diffraction line list of LiPmGa6 was calculated for Cu Ka.

Atomic structure:
Cell: 4.389 6.489 5.401 Å, 90.00 90.00 90.00°
Fractional coordinates of all 8 atoms:
Li: 0.000 0.000 0.000
Pm: 0.500 0.500 0.710
Ga: 0.000 0.205 0.514
Ga: 0.000 0.500 0.137
Ga: 0.000 0.795 0.514
Ga: 0.500 0.000 0.704
Ga: 0.500 0.220 0.195
Ga: 0.500 0.780 0.195

Peak list (6 most intense, 2θ from 15° to 90°, sorted by position)
- 2θ = 29.62°, d 3.016, rel. 29
- 2θ = 32.18°, d 2.781, rel. 26
- 2θ = 33.18°, d 2.700, rel. 18
- 2θ = 38.31°, d 2.349, rel. 100
- 2θ = 39.17°, d 2.300, rel. 40
- 2θ = 41.13°, d 2.194, rel. 29

No. 7
Starting from a crystal structure in Alexandria, relaxed with PBE, the powder diffraction line list of Li2Pm3Ga3 was calculated for Cu Ka.

Atomic structure:
Cell: 5.578 5.578 15.404 Å, 90.00 90.00 130.31°
Fractional coordinates of all 16 atoms:
Li: 0.206 0.794 0.587
Li: 0.206 0.794 0.913
Li: 0.794 0.206 0.087
Li: 0.794 0.206 0.413
Pm: 0.105 0.895 0.111
Pm: 0.105 0.895 0.389
Pm: 0.393 0.607 0.250
Pm: 0.607 0.393 0.750
Pm: 0.895 0.105 0.611
Pm: 0.895 0.105 0.889
Ga: 0.308 0.692 0.750
Ga: 0.398 0.602 0.045
Ga: 0.398 0.602 0.455
Ga: 0.602 0.398 0.545
Ga: 0.602 0.398 0.955
Ga: 0.692 0.308 0.250

Peak list (6 most intense, 2θ from 15° to 90°, sorted by position)
- 2θ = 21.67°, d 4.100, rel. 37
- 2θ = 24.70°, d 3.605, rel. 29
- 2θ = 27.22°, d 3.276, rel. 31
- 2θ = 31.33°, d 2.855, rel. 100
- 2θ = 33.22°, d 2.697, rel. 74
- 2θ = 38.41°, d 2.344, rel. 39

No. 8
Starting from a crystal structure in Alexandria, relaxed with PBE, the powder diffraction line list of LiPm2GaSe5 was calculated for Cu Ka.

Atomic structure:
Cell: 9.172 9.172 11.889 Å, 90.00 90.00 154.77°
Fractional coordinates of all 18 atoms:
Li: 0.213 0.787 0.500
Li: 0.787 0.213 0.000
Pm: 0.121 0.879 0.162
Pm: 0.133 0.867 0.785
Pm: 0.867 0.133 0.285
Pm: 0.879 0.121 0.662
Ga: 0.431 0.569 0.935
Ga: 0.569 0.431 0.435
Se: 0.043 0.957 0.549
Se: 0.291 0.709 0.149
Se: 0.315 0.685 0.830
Se: 0.357 0.643 0.479
Se: 0.499 0.501 0.259
Se: 0.501 0.499 0.759
Se: 0.643 0.357 0.979
Se: 0.685 0.315 0.330
Se: 0.709 0.291 0.649
Se: 0.957 0.043 0.049

Peak list (6 most intense, 2θ from 15° to 90°, sorted by position)
- 2θ = 30.85°, d 2.899, rel. 99
- 2θ = 32.16°, d 2.783, rel. 100
- 2θ = 33.58°, d 2.669, rel. 41
- 2θ = 36.91°, d 2.435, rel. 52
- 2θ = 40.75°, d 2.214, rel. 42
- 2θ = 45.27°, d 2.003, rel. 37

No. 9
Starting from a crystal structure in Alexandria, relaxed with PBE, the powder diffraction line list of Li4PrGa2 was calculated for Cu Ka.

Atomic structure:
Cell: 7.872 7.872 4.347 Å, 90.00 90.00 147.97°
Fractional coordinates of all 7 atoms:
Li: 0.181 0.819 0.000
Li: 0.313 0.687 0.500
Li: 0.687 0.313 0.500
Li: 0.819 0.181 0.000
Pr: 0.500 0.500 0.000
Ga: 0.082 0.918 0.500
Ga: 0.918 0.082 0.500

Peak list (6 most intense, 2θ from 15° to 90°, sorted by position)
- 2θ = 29.67°, d 3.011, rel. 100
- 2θ = 31.35°, d 2.854, rel. 28
- 2θ = 34.17°, d 2.624, rel. 27
- 2θ = 36.17°, d 2.483, rel. 31
- 2θ = 41.39°, d 2.181, rel. 25
- 2θ = 41.57°, d 2.173, rel. 28

No. 10
Starting from a crystal structure in Alexandria, relaxed with PBE, the powder diffraction line list of Li2PrGa3 was calculated for Cu Ka.

Atomic structure:
Cell: 6.858 6.858 4.919 Å, 90.00 90.00 79.26°
Fractional coordinates of all 12 atoms:
Li: 0.218 0.218 0.000
Li: 0.218 0.218 0.500
Li: 0.782 0.782 0.000
Li: 0.782 0.782 0.500
Pr: 0.320 0.680 0.750
Pr: 0.680 0.320 0.250
Ga: 0.070 0.930 0.250
Ga: 0.085 0.541 0.250
Ga: 0.459 0.915 0.250
Ga: 0.541 0.085 0.750
Ga: 0.915 0.459 0.750
Ga: 0.930 0.070 0.750

Peak list (6 most intense, 2θ from 15° to 90°, sorted by position)
- 2θ = 20.30°, d 4.374, rel. 47
- 2θ = 31.84°, d 2.811, rel. 33
- 2θ = 32.21°, d 2.779, rel. 75
- 2θ = 32.92°, d 2.721, rel. 100
- 2θ = 36.54°, d 2.459, rel. 44
- 2θ = 44.34°, d 2.043, rel. 43

No. 11
Starting from a crystal structure in Alexandria, relaxed with PBE, the powder diffraction line list of Li8PrGa4 was calculated for Cu Ka.

Atomic structure:
Cell: 7.066 7.066 7.066 Å, 98.57 98.57 134.57°
Fractional coordinates of all 13 atoms:
Li: 0.000 0.223 0.223
Li: 0.000 0.777 0.777
Li: 0.154 0.500 0.654
Li: 0.223 0.000 0.223
Li: 0.500 0.154 0.654
Li: 0.500 0.846 0.346
Li: 0.777 0.000 0.777
Li: 0.846 0.500 0.346
Pr: 0.500 0.500 0.000
Ga: 0.000 0.000 0.500
Ga: 0.000 0.500 0.000
Ga: 0.500 0.000 0.000
Ga: 0.500 0.500 0.500

Peak list (6 most intense, 2θ from 15° to 90°, sorted by position)
- 2θ = 18.90°, d 4.696, rel. 52
- 2θ = 27.11°, d 3.289, rel. 48
- 2θ = 27.37°, d 3.259, rel. 100
- 2θ = 38.34°, d 2.348, rel. 96
- 2θ = 39.09°, d 2.304, rel. 48
- 2θ = 55.91°, d 1.645, rel. 57

No. 12
Starting from a crystal structure in Alexandria, relaxed with PBE, the powder diffraction line list of Li3Ga2Pt3 was calculated for Cu Ka.

Atomic structure:
Cell: 7.442 7.442 7.442 Å, 33.46 33.46 33.46°
Fractional coordinates of all 8 atoms:
Li: 0.000 0.000 0.000
Li: 0.125 0.125 0.125
Li: 0.498 0.498 0.498
Ga: 0.250 0.250 0.250
Ga: 0.749 0.749 0.749
Pt: 0.375 0.375 0.375
Pt: 0.624 0.624 0.624
Pt: 0.873 0.873 0.873

Peak list (6 most intense, 2θ from 15° to 90°, sorted by position)
- 2θ = 24.36°, d 3.654, rel. 14
- 2θ = 25.43°, d 3.502, rel. 25
- 2θ = 29.45°, d 3.033, rel. 43
- 2θ = 42.14°, d 2.144, rel. 100
- 2θ = 61.12°, d 1.516, rel. 17
- 2θ = 77.08°, d 1.237, rel. 26